(1)
Sm7AuS5: computed X-ray diffraction stick pattern (λ = 1.5418 Å (Cu Kα)), based on DFT lattice parameters and positions (PBE).

The 10 most intense peaks (10 to 90 degrees two-theta), in order of falling intensity:
| Position (°2θ) | I (rel.) |
| --- | --- |
| 29.2 | 100 |
| 31.1 | 93 |
| 32.2 | 69 |
| 29.8 | 42 |
| 54.9 | 35 |
| 27.6 | 35 |
| 45.2 | 32 |
| 45.4 | 31 |
| 74.0 | 25 |
| 41.1 | 23 |

abc: 3.9994 24.1421 6.9069
angles: 90.00 106.75 90.00
Fractional positions:
1 Sm 0.0329 0.2500 0.0641
2 Sm 0.1361 0.5363 0.2731
3 Sm 0.1361 0.9637 0.2731
4 Sm 0.3156 0.1746 0.6302
5 Sm 0.3156 0.3254 0.6302
6 Sm 0.4110 0.6061 0.8231
7 Sm 0.4110 0.8939 0.8231
8 Sm 0.5890 0.1061 0.1769
9 Sm 0.5890 0.3939 0.1769
10 Sm 0.6844 0.6746 0.3698
11 Sm 0.6844 0.8254 0.3698
12 Sm 0.8639 0.0363 0.7269
13 Sm 0.8639 0.4637 0.7269
14 Sm 0.9671 0.7500 0.9359
15 Au 0.2961 0.7500 0.5938
16 Au 0.7039 0.2500 0.4062
17 S 0.0458 0.6416 0.0933
18 S 0.0458 0.8584 0.0933
19 S 0.2267 0.0703 0.4523
20 S 0.2267 0.4297 0.4523
21 S 0.5000 0.0000 0.0000
22 S 0.5000 0.5000 0.0000
23 S 0.7733 0.5703 0.5477
24 S 0.7733 0.9297 0.5477
25 S 0.9542 0.1416 0.9067
26 S 0.9542 0.3584 0.9067

(2)
Sm5AuS4: computed X-ray diffraction stick pattern (λ = 1.5418 Å (Cu Kα)), based on DFT lattice parameters and positions (PBE).

The 10 most intense peaks (10 to 90 degrees two-theta), in order of falling intensity:
| Position (°2θ) | I (rel.) |
| --- | --- |
| 31.1 | 100 |
| 44.6 | 49 |
| 73.7 | 21 |
| 26.7 | 16 |
| 27.1 | 14 |
| 54.9 | 13 |
| 55.8 | 13 |
| 44.0 | 12 |
| 45.1 | 12 |
| 64.9 | 12 |

abc: 7.0981 7.0981 10.0370
angles: 118.72 118.72 32.87
Fractional positions:
1 Sm 0.0000 0.0000 0.0000
2 Sm 0.2031 0.2031 0.8085
3 Sm 0.3935 0.3935 0.6057
4 Sm 0.6065 0.6065 0.3943
5 Sm 0.7969 0.7969 0.1915
6 Au 0.0000 0.0000 0.5000
7 S 0.2024 0.2024 0.2956
8 S 0.4016 0.4016 0.0991
9 S 0.5984 0.5984 0.9009
10 S 0.7976 0.7976 0.7044

(3)
Sm4AuS5: computed X-ray diffraction stick pattern (λ = 1.5418 Å (Cu Kα)), based on DFT lattice parameters and positions (PBE).

The 10 most intense peaks (10 to 90 degrees two-theta), in order of falling intensity:
| Position (°2θ) | I (rel.) |
| --- | --- |
| 10.6 | 100 |
| 30.1 | 82 |
| 24.4 | 37 |
| 32.2 | 32 |
| 43.5 | 30 |
| 21.3 | 23 |
| 38.0 | 17 |
| 45.8 | 16 |
| 45.2 | 16 |
| 30.3 | 15 |

abc: 9.0215 9.0215 8.8434
angles: 108.08 108.08 25.71
Fractional positions:
1 Sm 0.0038 0.0038 0.2834
2 Sm 0.3127 0.3127 0.8738
3 Sm 0.6873 0.6873 0.1262
4 Sm 0.9962 0.9962 0.7166
5 Au 0.5000 0.5000 0.0000
6 S 0.1590 0.1590 0.8860
7 S 0.1601 0.1601 0.3104
8 S 0.5000 0.5000 0.5000
9 S 0.8399 0.8399 0.6896
10 S 0.8410 0.8410 0.1140

(4)
SnAuS4: computed X-ray diffraction stick pattern (λ = 1.5418 Å (Cu Kα)), based on DFT lattice parameters and positions (PBE).

The 10 most intense peaks (10 to 90 degrees two-theta), in order of falling intensity:
| Position (°2θ) | I (rel.) |
| --- | --- |
| 15.2 | 100 |
| 34.7 | 53 |
| 28.4 | 45 |
| 35.0 | 26 |
| 28.7 | 20 |
| 38.1 | 19 |
| 49.8 | 18 |
| 50.5 | 18 |
| 52.4 | 17 |
| 46.1 | 13 |

abc: 6.2105 3.7082 6.3173
angles: 90.00 109.86 90.00
Fractional positions:
1 Sn 0.0000 0.0000 0.0000
2 Au 0.0000 0.5000 0.5000
3 S 0.2408 0.0000 0.7419
4 S 0.2425 0.5000 0.2608
5 S 0.7575 0.5000 0.7392
6 S 0.7592 0.0000 0.2581

(5)
SrZn2AuS: computed X-ray diffraction stick pattern (λ = 1.5418 Å (Cu Kα)), based on DFT lattice parameters and positions (PBE).

The 10 most intense peaks (10 to 90 degrees two-theta), in order of falling intensity:
| Position (°2θ) | I (rel.) |
| --- | --- |
| 14.1 | 100 |
| 25.5 | 69 |
| 28.5 | 69 |
| 43.1 | 44 |
| 32.0 | 30 |
| 31.6 | 26 |
| 40.8 | 26 |
| 52.5 | 25 |
| 34.8 | 24 |
| 48.7 | 24 |

abc: 6.2599 6.2599 5.6644
angles: 90.00 90.00 90.00
Fractional positions:
1 Sr 0.0000 0.0000 0.0000
2 Zn 0.0000 0.5000 0.0000
3 Zn 0.5000 0.0000 0.0000
4 Au 0.0000 0.0000 0.5000
5 S 0.5000 0.5000 0.5000

(6)
Ta5AuS: computed X-ray diffraction stick pattern (λ = 1.5418 Å (Cu Kα)), based on DFT lattice parameters and positions (PBE).

The 10 most intense peaks (10 to 90 degrees two-theta), in order of falling intensity:
| Position (°2θ) | I (rel.) |
| --- | --- |
| 37.0 | 100 |
| 40.4 | 82 |
| 34.8 | 31 |
| 62.5 | 23 |
| 78.4 | 17 |
| 12.1 | 15 |
| 56.0 | 15 |
| 74.9 | 14 |
| 63.9 | 14 |
| 68.1 | 10 |

abc: 8.9226 8.9226 8.9226
angles: 60.00 60.00 60.00
Fractional positions:
1 Ta 0.1681 0.1681 0.1681
2 Ta 0.1681 0.1681 0.4958
3 Ta 0.1681 0.4958 0.1681
4 Ta 0.1970 0.1970 0.8030
5 Ta 0.1970 0.8030 0.1970
6 Ta 0.1970 0.8030 0.8030
7 Ta 0.3821 0.3821 0.3821
8 Ta 0.3821 0.3821 0.8538
9 Ta 0.3821 0.8538 0.3821
10 Ta 0.4958 0.1681 0.1681
11 Ta 0.5270 0.5270 0.9730
12 Ta 0.5270 0.9730 0.5270
13 Ta 0.5270 0.9730 0.9730
14 Ta 0.8030 0.1970 0.1970
15 Ta 0.8030 0.1970 0.8030
16 Ta 0.8030 0.8030 0.1970
17 Ta 0.8538 0.3821 0.3821
18 Ta 0.9730 0.5270 0.5270
19 Ta 0.9730 0.5270 0.9730
20 Ta 0.9730 0.9730 0.5270
21 Au 0.1990 0.6003 0.6003
22 Au 0.6003 0.1990 0.6003
23 Au 0.6003 0.6003 0.1990
24 Au 0.6003 0.6003 0.6003
25 S 0.3942 0.8686 0.8686
26 S 0.8686 0.3942 0.8686
27 S 0.8686 0.8686 0.3942
28 S 0.8686 0.8686 0.8686

(7)
Ta2AuS2: computed X-ray diffraction stick pattern (λ = 1.5418 Å (Cu Kα)), based on DFT lattice parameters and positions (PBE).

The 10 most intense peaks (10 to 90 degrees two-theta), in order of falling intensity:
| Position (°2θ) | I (rel.) |
| --- | --- |
| 34.9 | 100 |
| 41.0 | 42 |
| 70.8 | 26 |
| 22.4 | 23 |
| 35.9 | 20 |
| 58.3 | 19 |
| 68.8 | 16 |
| 39.6 | 15 |
| 59.4 | 14 |
| 55.7 | 11 |

abc: 4.3986 4.3986 9.1079
angles: 90.00 90.00 90.00
Fractional positions:
1 Ta 0.0000 0.5000 0.2500
2 Ta 0.0000 0.5000 0.7500
3 Ta 0.5000 0.0000 0.2500
4 Ta 0.5000 0.0000 0.7500
5 Au 0.0000 0.0000 0.0000
6 Au 0.5000 0.5000 0.5000
7 S 0.0000 0.0000 0.3627
8 S 0.0000 0.0000 0.6373
9 S 0.5000 0.5000 0.1373
10 S 0.5000 0.5000 0.8627

(8)
Te4AuS3: computed X-ray diffraction stick pattern (λ = 1.5418 Å (Cu Kα)), based on DFT lattice parameters and positions (PBE).

The 10 most intense peaks (10 to 90 degrees two-theta), in order of falling intensity:
| Position (°2θ) | I (rel.) |
| --- | --- |
| 25.4 | 100 |
| 41.9 | 64 |
| 32.8 | 53 |
| 28.0 | 52 |
| 15.0 | 49 |
| 15.4 | 42 |
| 14.2 | 34 |
| 26.9 | 34 |
| 19.6 | 26 |
| 37.3 | 24 |

abc: 7.1712 7.0253 10.9744
angles: 90.00 94.72 90.00
Fractional positions:
1 Te 0.0396 0.0000 0.4800
2 Te 0.1555 0.0194 0.0181
3 Te 0.2590 0.5527 0.2438
4 Te 0.4369 0.5575 0.7371
5 Te 0.5631 0.0575 0.2629
6 Te 0.7410 0.0527 0.7562
7 Te 0.8445 0.5194 0.9819
8 Te 0.9604 0.5000 0.5200
9 Au 0.1642 0.9942 0.2618
10 Au 0.8358 0.4942 0.7382
11 S 0.1770 0.5283 0.0168
12 S 0.3060 0.4767 0.5349
13 S 0.4362 0.9092 0.7571
14 S 0.5638 0.4092 0.2429
15 S 0.6940 0.9767 0.4651
16 S 0.8230 0.0283 0.9832

(9)
Tl2AuS2: computed X-ray diffraction stick pattern (λ = 1.5418 Å (Cu Kα)), based on DFT lattice parameters and positions (PBE).

The 10 most intense peaks (10 to 90 degrees two-theta), in order of falling intensity:
| Position (°2θ) | I (rel.) |
| --- | --- |
| 26.8 | 100 |
| 29.9 | 58 |
| 34.0 | 35 |
| 23.8 | 32 |
| 43.4 | 24 |
| 55.2 | 23 |
| 37.7 | 21 |
| 21.7 | 21 |
| 28.8 | 19 |
| 46.7 | 18 |

abc: 7.4868 9.7667 4.0049
angles: 90.00 90.00 90.00
Fractional positions:
1 Tl 0.0774 0.1527 0.0000
2 Tl 0.4226 0.6527 0.0000
3 Tl 0.5774 0.3473 0.0000
4 Tl 0.9226 0.8473 0.0000
5 Au 0.0000 0.5000 0.5000
6 Au 0.5000 0.0000 0.5000
7 S 0.1508 0.7057 0.5000
8 S 0.3492 0.2057 0.5000
9 S 0.6508 0.7943 0.5000
10 S 0.8492 0.2943 0.5000

(10)
Tl5Au2S12: computed X-ray diffraction stick pattern (λ = 1.5418 Å (Cu Kα)), based on DFT lattice parameters and positions (PBE).

The 10 most intense peaks (10 to 90 degrees two-theta), in order of falling intensity:
| Position (°2θ) | I (rel.) |
| --- | --- |
| 20.2 | 100 |
| 24.4 | 77 |
| 23.4 | 76 |
| 19.4 | 75 |
| 29.4 | 73 |
| 18.9 | 71 |
| 11.9 | 59 |
| 36.7 | 57 |
| 32.7 | 55 |
| 37.2 | 53 |

abc: 8.5367 9.0284 9.4583
angles: 111.78 116.33 94.00
Fractional positions:
1 Tl 0.0000 0.0000 0.0000
2 Tl 0.0354 0.3163 0.5666
3 Tl 0.3341 0.6025 0.2475
4 Tl 0.6659 0.3975 0.7525
5 Tl 0.9646 0.6837 0.4334
6 Au 0.3345 0.1301 0.6819
7 Au 0.6655 0.8699 0.3181
8 S 0.0767 0.2591 0.8918
9 S 0.1920 0.7013 0.8643
10 S 0.3363 0.2950 0.9374
11 S 0.3547 0.5750 0.5938
12 S 0.3574 0.9820 0.4368
13 S 0.3755 0.7679 0.8031
14 S 0.6245 0.2321 0.1969
15 S 0.6426 0.0180 0.5632
16 S 0.6453 0.4250 0.4062
17 S 0.6637 0.7050 0.0626
18 S 0.8080 0.2987 0.1357
19 S 0.9233 0.7409 0.1082

(11)
Tl2Au2S: computed X-ray diffraction stick pattern (λ = 1.5418 Å (Cu Kα)), based on DFT lattice parameters and positions (PBE).

The 10 most intense peaks (10 to 90 degrees two-theta), in order of falling intensity:
| Position (°2θ) | I (rel.) |
| --- | --- |
| 34.7 | 100 |
| 39.2 | 88 |
| 23.8 | 67 |
| 31.0 | 53 |
| 34.9 | 52 |
| 10.2 | 49 |
| 47.5 | 42 |
| 57.8 | 38 |
| 63.8 | 32 |
| 60.3 | 22 |

abc: 3.8283 3.8283 17.3334
angles: 90.00 90.00 90.00
Fractional positions:
1 Tl 0.0000 0.0000 0.0934
2 Tl 0.0000 0.0000 0.9066
3 Tl 0.5000 0.5000 0.4066
4 Tl 0.5000 0.5000 0.5934
5 Au 0.0000 0.5000 0.2500
6 Au 0.0000 0.5000 0.7500
7 Au 0.5000 0.0000 0.2500
8 Au 0.5000 0.0000 0.7500
9 S 0.0000 0.0000 0.5000
10 S 0.5000 0.5000 0.0000

(12)
UTl2Au2S4: computed X-ray diffraction stick pattern (λ = 1.5418 Å (Cu Kα)), based on DFT lattice parameters and positions (PBE).

The 10 most intense peaks (10 to 90 degrees two-theta), in order of falling intensity:
| Position (°2θ) | I (rel.) |
| --- | --- |
| 33.4 | 100 |
| 29.2 | 99 |
| 34.8 | 78 |
| 31.9 | 66 |
| 11.8 | 62 |
| 50.8 | 60 |
| 23.8 | 55 |
| 45.6 | 47 |
| 23.4 | 40 |
| 23.6 | 39 |

abc: 7.8980 7.8980 8.0980
angles: 111.73 111.73 28.62
Fractional positions:
1 U 0.0000 0.0000 0.0000
2 Tl 0.1279 0.1279 0.5871
3 Tl 0.8721 0.8721 0.4129
4 Au 0.2985 0.2985 0.9456
5 Au 0.7015 0.7015 0.0544
6 S 0.1767 0.1767 0.2345
7 S 0.4729 0.4729 0.2033
8 S 0.5271 0.5271 0.7967
9 S 0.8233 0.8233 0.7655